For FeCoSbO6, the GGA+U geometry in Alexandria gives the computed powder X-ray diffraction pattern in this record (copper Kα).
No peak broadening, texture or thermal motion is included.

Most intense lines, 15 to 90 degrees two-theta, by angle:
20.22 deg, d = 4.392 Å, I 30, hkl 0 0 2
22.89 deg, d = 3.886 Å, I 16, hkl 1 0 1
28.95 deg, d = 3.085 Å, I 100, hkl 1 0 2
35.90 deg, d = 2.502 Å, I 46, hkl 1 1 0
41.54 deg, d = 2.174 Å, I 34, hkl 1 1 2
46.75 deg, d = 1.943 Å, I 25, hkl 2 0 2
55.69 deg, d = 1.650 Å, I 52, hkl 1 1 4
60.32 deg, d = 1.535 Å, I 23, hkl 2 1 2
64.52 deg, d = 1.444 Å, I 21, hkl 3 0 0
83.38 deg, d = 1.159 Å, I 9, hkl 4 -1 2

Structure:
abc: 5.0033 5.0033 8.7848
angles: 90.00 90.00 120.00
Atoms (fractional coordinates):
Fe: 0.0000 0.0000 0.0000
Fe: 0.0000 0.0000 0.5000
Co: 0.3333 0.6667 0.2500
Co: 0.6667 0.3333 0.7500
Sb: 0.3333 0.6667 0.7500
Sb: 0.6667 0.3333 0.2500
O: 0.0176 0.3537 0.1303
O: 0.0176 0.6638 0.3697
O: 0.3362 0.3537 0.3697
O: 0.3362 0.9824 0.1303
O: 0.3537 0.0176 0.6303
O: 0.3537 0.3362 0.8697
O: 0.6463 0.6638 0.1303
O: 0.6463 0.9824 0.3697
O: 0.6638 0.0176 0.8697
O: 0.6638 0.6463 0.6303
O: 0.9824 0.3362 0.6303
O: 0.9824 0.6463 0.8697